Diffraction record for Tm2Ga9Co3. The powder X-ray diffraction pattern is calculated, not measured: it uses a PBE-relaxed structure and Cu Kα.
Intensities are scaled so that the largest is 100.

Main lines, in order of rising 2θ (10° ≤ 2θ ≤ 90°):
d_spacing  I_rel
3.416  14
2.627  10
2.377  100
2.341  16
2.327  16
2.121  46
2.114  23
1.580  11
1.268  22
1.265  11

Cell lengths 7.331, 7.331, 9.363 Å; angles 90.00, 90.00, 60.20 degrees
Atoms (fractional coordinates):
1 Tm 0.003 0.668 0.750
2 Tm 0.332 0.997 0.750
3 Tm 0.668 0.003 0.250
4 Tm 0.997 0.332 0.250
5 Ga 0.001 0.334 0.573
6 Ga 0.001 0.334 0.927
7 Ga 0.120 0.880 0.250
8 Ga 0.333 0.667 0.559
9 Ga 0.333 0.667 0.941
10 Ga 0.334 0.001 0.073
11 Ga 0.334 0.001 0.427
12 Ga 0.336 0.448 0.250
13 Ga 0.448 0.336 0.750
14 Ga 0.552 0.664 0.250
15 Ga 0.664 0.552 0.750
16 Ga 0.666 0.999 0.573
17 Ga 0.666 0.999 0.927
18 Ga 0.667 0.333 0.059
19 Ga 0.667 0.333 0.441
20 Ga 0.880 0.120 0.750
21 Ga 0.999 0.666 0.073
22 Ga 0.999 0.666 0.427
23 Co 0.000 0.000 0.000
24 Co 0.000 0.000 0.500
25 Co 0.329 0.329 0.000
26 Co 0.329 0.329 0.500
27 Co 0.671 0.671 0.000
28 Co 0.671 0.671 0.500

***

Diffraction record for Tm2Ga5Co4. The powder X-ray diffraction pattern is calculated, not measured: it uses a PBE-relaxed structure and Cu Kα.
Intensities are scaled so that the largest is 100.

Main lines, in order of rising 2θ (10° ≤ 2θ ≤ 90°):
d_spacing  I_rel
3.345  67
2.888  46
2.582  36
2.320  100
2.258  53
2.134  66
1.867  21
1.655  21
1.440  32
1.311  20

Cell lengths 8.748, 7.909, 5.244 Å; angles 80.62, 63.13, 36.26 degrees
Atoms (fractional coordinates):
1 Tm 0.149 0.149 0.851
2 Tm 0.851 0.851 0.149
3 Ga 0.000 0.000 0.500
4 Ga 0.250 0.250 0.250
5 Ga 0.500 0.500 0.000
6 Ga 0.500 0.500 0.500
7 Ga 0.750 0.750 0.750
8 Co 0.217 0.527 0.473
9 Co 0.473 0.783 0.217
10 Co 0.527 0.217 0.783
11 Co 0.783 0.473 0.527

***

Diffraction record for Tm3Ga5Co6. The powder X-ray diffraction pattern is calculated, not measured: it uses a PBE-relaxed structure and Cu Kα.
Intensities are scaled so that the largest is 100.

Main lines, in order of rising 2θ (10° ≤ 2θ ≤ 90°):
d_spacing  I_rel
3.705  19
2.906  30
2.395  100
2.365  19
2.325  65
2.176  23
2.113  19
2.061  43
2.049  29
1.542  16

Cell lengths 4.122, 12.294, 8.458 Å; angles 90.00, 90.00, 90.00 degrees
Atoms (fractional coordinates):
1 Tm 0.250 0.054 0.248
2 Tm 0.250 0.446 0.248
3 Tm 0.250 0.750 0.217
4 Tm 0.750 0.250 0.783
5 Tm 0.750 0.554 0.752
6 Tm 0.750 0.946 0.752
7 Ga 0.250 0.095 0.877
8 Ga 0.250 0.405 0.877
9 Ga 0.250 0.630 0.518
10 Ga 0.250 0.750 0.798
11 Ga 0.250 0.870 0.518
12 Ga 0.750 0.130 0.482
13 Ga 0.750 0.250 0.202
14 Ga 0.750 0.370 0.482
15 Ga 0.750 0.595 0.123
16 Ga 0.750 0.905 0.123
17 Co 0.250 0.064 0.591
18 Co 0.250 0.250 0.051
19 Co 0.250 0.250 0.444
20 Co 0.250 0.436 0.591
21 Co 0.250 0.589 0.975
22 Co 0.250 0.911 0.975
23 Co 0.750 0.089 0.025
24 Co 0.750 0.411 0.025
25 Co 0.750 0.564 0.409
26 Co 0.750 0.750 0.556
27 Co 0.750 0.750 0.949
28 Co 0.750 0.936 0.409

***

Diffraction record for TmGa2Co3. The powder X-ray diffraction pattern is calculated, not measured: it uses a PBE-relaxed structure and Cu Kα.
Intensities are scaled so that the largest is 100.

Main lines, in order of rising 2θ (10° ≤ 2θ ≤ 90°):
d_spacing  I_rel
2.892  47
2.589  43
2.243  35
2.137  100
1.929  13
1.892  15
1.743  13
1.547  14
1.390  24
1.295  18

Cell lengths 5.179, 5.179, 3.784 Å; angles 90.00, 90.00, 120.00 degrees
Atoms (fractional coordinates):
1 Tm 0.000 0.000 0.000
2 Ga 0.333 0.667 0.900
3 Ga 0.667 0.333 0.900
4 Co 0.000 0.500 0.402
5 Co 0.500 0.000 0.402
6 Co 0.500 0.500 0.402

***

Diffraction record for Tm4GaCo. The powder X-ray diffraction pattern is calculated, not measured: it uses a PBE-relaxed structure and Cu Kα.
Intensities are scaled so that the largest is 100.

Main lines, in order of rising 2θ (10° ≤ 2θ ≤ 90°):
d_spacing  I_rel
3.504  22
2.831  67
2.800  73
2.750  65
2.538  54
2.452  23
2.423  36
2.411  100
2.352  18
2.208  23

Cell lengths 7.769, 7.769, 5.845 Å; angles 104.32, 104.32, 112.64 degrees
Atoms (fractional coordinates):
1 Tm 0.058 0.710 0.923
2 Tm 0.217 0.352 0.680
3 Tm 0.290 0.942 0.577
4 Tm 0.352 0.217 0.180
5 Tm 0.648 0.783 0.820
6 Tm 0.710 0.058 0.423
7 Tm 0.783 0.648 0.320
8 Tm 0.942 0.290 0.077
9 Ga 0.370 0.630 0.250
10 Ga 0.630 0.370 0.750
11 Co 0.000 0.000 0.250
12 Co 0.000 0.000 0.750

***

Diffraction record for UGaCo6. The powder X-ray diffraction pattern is calculated, not measured: it uses a PBE-relaxed structure and Cu Kα.
Intensities are scaled so that the largest is 100.

Main lines, in order of rising 2θ (10° ≤ 2θ ≤ 90°):
d_spacing  I_rel
5.156  21
3.646  14
3.009  16
2.599  12
2.116  100
1.853  16
1.823  31
1.299  19
1.114  12
1.101  23

Cell lengths 5.156, 5.156, 3.705 Å; angles 90.00, 90.00, 90.00 degrees
Atoms (fractional coordinates):
1 U 0.000 0.000 0.000
2 Ga 0.500 0.500 0.000
3 Co 0.000 0.500 0.000
4 Co 0.256 0.256 0.500
5 Co 0.256 0.744 0.500
6 Co 0.500 0.000 0.000
7 Co 0.744 0.256 0.500
8 Co 0.744 0.744 0.500

***

Diffraction record for UGaCo3. The powder X-ray diffraction pattern is calculated, not measured: it uses a PBE-relaxed structure and Cu Kα.
Intensities are scaled so that the largest is 100.

Main lines, in order of rising 2θ (10° ≤ 2θ ≤ 90°):
d_spacing  I_rel
4.337  38
2.720  100
2.617  16
2.594  14
2.169  39
2.082  25
1.976  24
1.949  41
1.745  20
1.521  18

Cell lengths 5.877, 5.877, 5.877 Å; angles 127.62, 107.10, 95.48 degrees
Atoms (fractional coordinates):
1 U 0.269 0.019 0.250
2 U 0.731 0.981 0.750
3 Ga 0.000 0.500 0.500
4 Ga 0.500 0.500 0.000
5 Co 0.014 0.264 0.750
6 Co 0.311 0.000 0.811
7 Co 0.311 0.500 0.311
8 Co 0.689 0.000 0.189
9 Co 0.689 0.500 0.689
10 Co 0.986 0.736 0.250

***

Diffraction record for U2Ga5Co3. The powder X-ray diffraction pattern is calculated, not measured: it uses a PBE-relaxed structure and Cu Kα.
Intensities are scaled so that the largest is 100.

Main lines, in order of rising 2θ (10° ≤ 2θ ≤ 90°):
d_spacing  I_rel
4.428  24
3.613  25
3.433  17
2.563  35
2.451  85
2.423  100
2.232  36
2.209  20
2.031  41
1.502  21

Cell lengths 12.015, 12.015, 6.671 Å; angles 90.00, 90.00, 160.53 degrees
Atoms (fractional coordinates):
1 U 0.027 0.973 0.500
2 U 0.323 0.677 0.592
3 U 0.677 0.323 0.092
4 U 0.973 0.027 0.000
5 Ga 0.098 0.902 0.888
6 Ga 0.204 0.796 0.407
7 Ga 0.209 0.791 0.794
8 Ga 0.371 0.629 0.045
9 Ga 0.447 0.553 0.660
10 Ga 0.553 0.447 0.160
11 Ga 0.629 0.371 0.545
12 Ga 0.791 0.209 0.294
13 Ga 0.796 0.204 0.907
14 Ga 0.902 0.098 0.388
15 Co 0.104 0.896 0.282
16 Co 0.264 0.736 0.105
17 Co 0.454 0.546 0.278
18 Co 0.546 0.454 0.778
19 Co 0.736 0.264 0.605
20 Co 0.896 0.104 0.782

***

Diffraction record for U4Ga16Co3. The powder X-ray diffraction pattern is calculated, not measured: it uses a PBE-relaxed structure and Cu Kα.
Intensities are scaled so that the largest is 100.

Main lines, in order of rising 2θ (10° ≤ 2θ ≤ 90°):
d_spacing  I_rel
4.277  36
2.785  36
2.650  60
2.334  100
2.201  27
2.138  68
1.534  33
1.512  22
1.269  26
1.246  16

Cell lengths 6.048, 6.048, 11.007 Å; angles 90.00, 90.00, 90.00 degrees
Atoms (fractional coordinates):
1 U 0.000 0.500 0.193
2 U 0.000 0.500 0.807
3 U 0.500 0.000 0.193
4 U 0.500 0.000 0.807
5 Ga 0.000 0.000 0.199
6 Ga 0.000 0.000 0.801
7 Ga 0.221 0.221 0.000
8 Ga 0.221 0.779 0.000
9 Ga 0.249 0.249 0.383
10 Ga 0.249 0.249 0.617
11 Ga 0.249 0.751 0.383
12 Ga 0.249 0.751 0.617
13 Ga 0.500 0.500 0.219
14 Ga 0.500 0.500 0.781
15 Ga 0.751 0.249 0.383
16 Ga 0.751 0.249 0.617
17 Ga 0.751 0.751 0.383
18 Ga 0.751 0.751 0.617
19 Ga 0.779 0.221 0.000
20 Ga 0.779 0.779 0.000
21 Co 0.000 0.500 0.500
22 Co 0.500 0.000 0.500
23 Co 0.500 0.500 0.000

***

Diffraction record for V3GaCo4. The powder X-ray diffraction pattern is calculated, not measured: it uses a PBE-relaxed structure and Cu Kα.
Intensities are scaled so that the largest is 100.

Main lines, in order of rising 2θ (10° ≤ 2θ ≤ 90°):
d_spacing  I_rel
5.801  1
4.078  1
3.336  1
2.582  1
2.045  100
2.039  50
1.450  8
1.442  15
1.182  15
1.178  29

Cell lengths 4.078, 4.078, 5.801 Å; angles 90.00, 90.00, 90.00 degrees
Atoms (fractional coordinates):
1 V 0.000 0.000 0.000
2 V 0.000 0.000 0.500
3 V 0.500 0.500 0.000
4 Ga 0.500 0.500 0.500
5 Co 0.000 0.500 0.249
6 Co 0.000 0.500 0.751
7 Co 0.500 0.000 0.249
8 Co 0.500 0.000 0.751

***

Diffraction record for V5Ga4Co. The powder X-ray diffraction pattern is calculated, not measured: it uses a PBE-relaxed structure and Cu Kα.
Intensities are scaled so that the largest is 100.

Main lines, in order of rising 2θ (10° ≤ 2θ ≤ 90°):
d_spacing  I_rel
2.815  19
2.344  100
2.117  17
2.105  15
2.051  11
1.996  40
1.885  10
1.571  12
1.448  11
1.257  12

Cell lengths 6.346, 6.346, 6.346 Å; angles 96.32, 96.32, 141.25 degrees
Atoms (fractional coordinates):
1 V 0.000 0.000 0.000
2 V 0.133 0.133 0.623
3 V 0.133 0.510 0.000
4 V 0.510 0.133 0.000
5 V 0.510 0.510 0.377
6 Ga 0.117 0.817 0.300
7 Ga 0.517 0.817 0.700
8 Ga 0.817 0.117 0.300
9 Ga 0.817 0.517 0.700
10 Co 0.520 0.520 0.000

***

Diffraction record for YGa12Co4. The powder X-ray diffraction pattern is calculated, not measured: it uses a PBE-relaxed structure and Cu Kα.
Intensities are scaled so that the largest is 100.

Main lines, in order of rising 2θ (10° ≤ 2θ ≤ 90°):
d_spacing  I_rel
4.523  87
3.693  15
2.611  71
2.261  100
2.023  39
1.599  64
1.508  17
1.364  25
1.306  20
1.131  9

Cell lengths 7.834, 7.834, 7.834 Å; angles 109.47, 109.47, 109.47 degrees
Atoms (fractional coordinates):
1 Y 0.000 0.000 0.000
2 Ga 0.002 0.743 0.259
3 Ga 0.257 0.259 0.516
4 Ga 0.257 0.741 0.998
5 Ga 0.259 0.002 0.743
6 Ga 0.259 0.516 0.257
7 Ga 0.484 0.743 0.741
8 Ga 0.516 0.257 0.259
9 Ga 0.741 0.484 0.743
10 Ga 0.741 0.998 0.257
11 Ga 0.743 0.259 0.002
12 Ga 0.743 0.741 0.484
13 Ga 0.998 0.257 0.741
14 Co 0.000 0.000 0.500
15 Co 0.000 0.500 0.000
16 Co 0.500 0.000 0.000
17 Co 0.500 0.500 0.500